For ThBe3Co2, DFT lattice parameters and positions (GGA-PBE) gives the simulated X-ray diffraction stick pattern in this record (λ = 1.5418 Å (Cu Kα)).
Lines closer than 0.1° are merged.

Peak list (10 most intense, 15° ≤ 2θ ≤ 90°, by angle)
2θ = 24.01°, I 100; 2θ = 31.87°, I 24; 2θ = 33.02°, I 27; 2θ = 33.45°, I 27; 2θ = 37.50°, I 38; 2θ = 37.89°, I 33; 2θ = 40.58°, I 47; 2θ = 41.63°, I 24; 2θ = 56.45°, I 20; 2θ = 63.47°, I 20

```
12
Lattice="4.4489 -3.3552 0.0000 4.4489 3.3552 0.0000 0.0000 0.0000 5.1311" Properties=species:S:1:pos:R:3 pbc="T T T"
Th 4.4489 2.1916 3.8483
Th 4.4489 -2.1916 1.2828
Be 2.7769 1.9006 1.2828
Be 4.4489 0.6348 1.2828
Be 6.1209 1.9006 1.2828
Be 2.7769 -1.9006 3.8483
Be 4.4489 -0.6348 3.8483
Be 6.1209 -1.9006 3.8483
Co 2.7349 0.0000 0.0000
Co 2.7349 0.0000 2.5655
Co 6.1629 0.0000 0.0000
Co 6.1629 0.0000 2.5655
```

For TaZn2Pb2, DFT lattice parameters and positions (GGA-PBE) gives the simulated X-ray diffraction stick pattern in this record (λ = 1.5418 Å (Cu Kα)).
Lines closer than 0.1° are merged.

Peak list (10 most intense, 15° ≤ 2θ ≤ 90°, by angle)
2θ = 27.35°, I 22; 2θ = 28.44°, I 21; 2θ = 33.43°, I 68; 2θ = 34.80°, I 19; 2θ = 35.69°, I 100; 2θ = 39.07°, I 46; 2θ = 45.89°, I 21; 2θ = 57.05°, I 22; 2θ = 58.57°, I 20; 2θ = 61.80°, I 24

```
10
Lattice="7.2907 0.0000 0.0000 0.0000 7.2907 0.0000 0.0000 0.0000 3.9554" Properties=species:S:1:pos:R:3 pbc="T T T"
Ta 0.0000 0.0000 0.0000
Ta 3.6454 3.6454 0.0000
Zn 0.9275 2.7179 0.0000
Zn 2.7179 6.3632 0.0000
Zn 4.5729 0.9275 0.0000
Zn 6.3632 4.5729 0.0000
Pb 1.2898 4.9351 1.9777
Pb 2.3556 1.2898 1.9777
Pb 4.9351 6.0010 1.9777
Pb 6.0010 2.3556 1.9777
```

For AgSbAu6, DFT lattice parameters and positions (GGA-PBE) gives the simulated X-ray diffraction stick pattern in this record (λ = 1.5418 Å (Cu Kα)).
Lines closer than 0.1° are merged.

Peak list (10 most intense, 15° ≤ 2θ ≤ 90°, by angle)
2θ = 36.64°, I 100; 2θ = 36.95°, I 98; 2θ = 42.62°, I 66; 2θ = 43.00°, I 32; 2θ = 62.15°, I 43; 2θ = 73.90°, I 26; 2θ = 74.48°, I 26; 2θ = 74.63°, I 13; 2θ = 74.83°, I 13; 2θ = 77.90°, I 11

```
8
Lattice="0.0000 4.2067 6.0376 2.9814 0.0000 6.0376 2.9814 4.2067 0.0000" Properties=species:S:1:pos:R:3 pbc="T T T"
Ag 0.0000 0.0000 0.0000
Sb 2.9814 4.2067 6.0376
Au 1.4907 2.1033 1.5376
Au 2.9814 4.2067 2.9629
Au 1.4907 2.1033 4.5001
Au 4.4721 6.3100 7.5752
Au 2.9814 4.2067 9.1124
Au 4.4721 6.3100 10.5377
```

For Zr6N3O, DFT lattice parameters and positions (GGA-PBE) gives the simulated X-ray diffraction stick pattern in this record (λ = 1.5418 Å (Cu Kα)).
Lines closer than 0.1° are merged.

Peak list (10 most intense, 15° ≤ 2θ ≤ 90°, by angle)
2θ = 31.28°, I 16; 2θ = 31.66°, I 15; 2θ = 35.00°, I 100; 2θ = 35.37°, I 21; 2θ = 36.14°, I 34; 2θ = 36.27°, I 14; 2θ = 36.41°, I 25; 2θ = 37.02°, I 14; 2θ = 39.16°, I 16; 2θ = 39.51°, I 15

```
20
Lattice="5.6559 0.0000 0.0000 0.0000 6.0760 0.0000 -5.3237 0.0000 8.4623" Properties=species:S:1:pos:R:3 pbc="T T T"
Zr -0.9167 0.2265 2.1026
Zr -3.5785 2.8115 6.3338
Zr 0.9943 4.1652 0.7137
Zr -1.6676 4.9489 4.9448
Zr 1.9015 1.0814 0.5396
Zr -0.7603 1.9566 4.7707
Zr 1.0926 4.1195 3.6916
Zr -1.5693 4.9946 7.9228
Zr 1.9998 1.1271 3.5175
Zr -0.6620 1.9109 7.7487
Zr 3.9107 3.2645 2.1285
Zr 1.2489 5.8495 6.3597
N 0.0000 0.0000 0.0000
N -2.6618 3.0380 4.2312
N -2.3864 0.7740 6.7754
N 0.2754 2.2640 2.5442
N 0.0568 3.8120 5.9181
N 2.7186 5.3020 1.6870
O 0.1661 0.0000 4.2312
O 2.8279 3.0380 0.0000
```